Theoretical PXRD pattern of Na3Ni5O10 for Cu Kα (weighted mean of Kα1 and Kα2), from the PBE+U geometry in Alexandria.
Intensities are scaled so that the largest is 100.

Principal peaks in the range 10 to 80 degrees two-theta, low angle first:
- d 5.477, intensity 100, (0 1 -1)
- d 2.739, intensity 13, (0 2 -2)
- d 2.530, intensity 8, (-1 1 2)
- d 2.421, intensity 13, (-1 2 1)
- d 2.377, intensity 6, (1 0 2)
- d 2.349, intensity 6, (2 0 -1)
- d 2.189, intensity 24, (1 0 -3)
- d 2.100, intensity 41, (1 2 0)
- d 1.593, intensity 6, (1 -2 4)
- d 1.404, intensity 9, (3 0 1)

Structure:
abc: 4.9004 6.3852 7.1664
angles: 110.00 98.07 105.56
Space group P-1 (No. 2)
Symmetry-distinct sites (fractional):
Na (0.0000, 0.0000, 0.0000) (multiplicity 1)
Na (0.1961, 0.3980, 0.3942) (multiplicity 2)
Ni (0.0000, 0.5000, 0.0000) (multiplicity 1)
Ni (0.2000, 0.8992, 0.4046) (multiplicity 2)
Ni (0.4041, 0.3001, 0.7967) (multiplicity 2)
O (0.0952, 0.4002, 0.7065) (multiplicity 2)
O (0.1061, 0.9918, 0.6679) (multiplicity 2)
O (0.2815, 0.8140, 0.1452) (multiplicity 2)
O (0.3024, 0.3953, 0.0834) (multiplicity 2)
O (0.4979, 0.1999, 0.5096) (multiplicity 2)